Structure and simulated PXRD pattern of SbIr9 (a GGA-PBE-relaxed structure; a wavelength of 1.5418 Å).

The 10 most intense peaks (2θ = 5–70°), low angle first:
2θ/deg  Rel. int.
38.95  32
40.16  100
40.43  8
40.97  66
45.23  22
47.03  45
47.50  31
67.55  11
67.67  13
69.06  29

Structure:
a = 2.7737 Å, b = 3.8296 Å, c = 37.7083 Å
α = 90.00°, β = 90.00°, γ = 90.00°
Fractional positions:
Sb: 0.2500 0.2500 0.1502
Sb: 0.7500 0.7500 0.8498
Ir: 0.2500 0.2500 0.2287
Ir: 0.2500 0.2500 0.3007
Ir: 0.2500 0.2500 0.3728
Ir: 0.2500 0.2500 0.4456
Ir: 0.2500 0.2500 0.5182
Ir: 0.2500 0.2500 0.5907
Ir: 0.2500 0.2500 0.6630
Ir: 0.2500 0.2500 0.7358
Ir: 0.2500 0.2500 0.8091
Ir: 0.7500 0.7500 0.1909
Ir: 0.7500 0.7500 0.2642
Ir: 0.7500 0.7500 0.3370
Ir: 0.7500 0.7500 0.4093
Ir: 0.7500 0.7500 0.4818
Ir: 0.7500 0.7500 0.5544
Ir: 0.7500 0.7500 0.6272
Ir: 0.7500 0.7500 0.6993
Ir: 0.7500 0.7500 0.7713

Structure and simulated PXRD pattern of CsOsSeS2 (a GGA-PBE-relaxed structure; a wavelength of 1.5418 Å).

The 10 most intense peaks (2θ = 5–70°), low angle first:
2θ/deg  Rel. int.
13.18  100
21.52  36
21.73  43
22.31  59
23.97  50
24.70  31
24.93  49
27.61  38
31.98  51
39.39  30

Structure:
a = 6.5970 Å, b = 7.5534 Å, c = 7.7716 Å
α = 104.39°, β = 109.77°, γ = 108.08°
Fractional positions:
Cs: 0.2280 0.3582 0.1673
Cs: 0.7720 0.6418 0.8327
Os: 0.2316 0.9220 0.5240
Os: 0.7684 0.0780 0.4760
Se: 0.1999 0.6495 0.6206
Se: 0.8001 0.3505 0.3794
S: 0.1838 0.1874 0.6823
S: 0.3390 0.9225 0.2779
S: 0.6610 0.0775 0.7221
S: 0.8162 0.8126 0.3177

Structure and simulated PXRD pattern of ZrSeBr7 (a GGA-PBE-relaxed structure; a wavelength of 1.5418 Å).

The 10 most intense peaks (2θ = 5–70°), low angle first:
2θ/deg  Rel. int.
15.60  43
17.35  65
17.89  29
22.96  100
24.84  47
25.96  90
27.24  96
28.10  79
32.30  33
43.10  34

Structure:
a = 7.1151 Å, b = 7.0581 Å, c = 15.1319 Å
α = 90.00°, β = 101.63°, γ = 90.00°
Fractional positions:
Zr: 0.0000 0.0105 0.0000
Zr: 0.0000 0.9895 0.5000
Se: 0.3512 0.4562 0.1897
Se: 0.3512 0.5438 0.6897
Br: 0.1381 0.3733 0.7690
Br: 0.1381 0.6267 0.2690
Br: 0.3352 0.1013 0.9973
Br: 0.3352 0.8987 0.4973
Br: 0.4814 0.1820 0.2742
Br: 0.4814 0.8180 0.7742
Br: 0.5753 0.3820 0.6103
Br: 0.5753 0.6180 0.1103
Br: 0.7813 0.1774 0.8746
Br: 0.7813 0.8226 0.3746
Br: 0.9145 0.1141 0.1433
Br: 0.9145 0.8859 0.6433
Br: 0.9677 0.3387 0.4814
Br: 0.9677 0.6613 0.9814

Structure and simulated PXRD pattern of Na4MgCdSn2 (a GGA-PBE-relaxed structure; a wavelength of 1.5418 Å).

The 10 most intense peaks (2θ = 5–70°), low angle first:
2θ/deg  Rel. int.
17.18  6
21.11  46
34.81  100
41.02  17
41.15  8
49.97  12
54.93  7
62.36  24
62.50  12
66.60  7

Structure:
a = 5.1619 Å, b = 5.1619 Å, c = 7.2695 Å
α = 90.00°, β = 90.00°, γ = 90.00°
Fractional positions:
Na: 0.0000 0.0000 0.0000
Na: 0.0000 0.5000 0.2444
Na: 0.5000 0.0000 0.7556
Na: 0.5000 0.5000 0.5000
Mg: 0.0000 0.0000 0.5000
Cd: 0.5000 0.5000 0.0000
Sn: 0.0000 0.5000 0.7432
Sn: 0.5000 0.0000 0.2568

Structure and simulated PXRD pattern of SrBAu (a GGA-PBE-relaxed structure; a wavelength of 1.5418 Å).

The 8 most intense peaks (2θ = 5–70°), low angle first:
2θ/deg  Rel. int.
24.11  29
27.91  100
39.88  88
47.14  16
49.37  29
57.67  15
63.41  7
65.26  38

Structure:
a = 4.5213 Å, b = 4.5213 Å, c = 4.5213 Å
α = 60.00°, β = 60.00°, γ = 60.00°
Fractional positions:
Sr: 0.0000 0.0000 0.0000
B: 0.7500 0.7500 0.7500
Au: 0.5000 0.5000 0.5000

Structure and simulated PXRD pattern of Ba2GdB2ClO6 (a GGA-PBE-relaxed structure; a wavelength of 1.5418 Å).

The 10 most intense peaks (2θ = 5–70°), low angle first:
2θ/deg  Rel. int.
21.69  64
23.63  30
26.15  21
28.12  21
29.08  100
29.83  17
33.64  36
34.99  21
37.79  19
43.09  23

Structure:
a = 6.4433 Å, b = 5.3296 Å, c = 11.3388 Å
α = 90.00°, β = 96.31°, γ = 90.00°
Fractional positions:
Ba: 0.0917 0.2500 0.2106
Ba: 0.3396 0.2500 0.5723
Ba: 0.6604 0.7500 0.4277
Ba: 0.9083 0.7500 0.7894
Gd: 0.3484 0.2500 0.9116
Gd: 0.6516 0.7500 0.0884
B: 0.2079 0.7500 0.0762
B: 0.3792 0.7500 0.7228
B: 0.6208 0.2500 0.2772
B: 0.7921 0.2500 0.9238
Cl: 0.1491 0.7500 0.4175
Cl: 0.8509 0.2500 0.5825
O: 0.0081 0.7500 0.1033
O: 0.2924 0.5281 0.7590
O: 0.2924 0.9719 0.7590
O: 0.3206 0.5295 0.0659
O: 0.3206 0.9705 0.0659
O: 0.4693 0.2500 0.3543
O: 0.5307 0.7500 0.6457
O: 0.6794 0.0295 0.9341
O: 0.6794 0.4705 0.9341
O: 0.7076 0.0281 0.2410
O: 0.7076 0.4719 0.2410
O: 0.9919 0.2500 0.8967

Structure and simulated PXRD pattern of YGeTeAuSe2 (a GGA-PBE-relaxed structure; a wavelength of 1.5418 Å).

The 10 most intense peaks (2θ = 5–70°), low angle first:
2θ/deg  Rel. int.
12.80  40
15.95  21
30.70  36
32.22  28
33.80  100
42.98  15
45.45  18
46.39  17
46.89  13
58.48  12

Structure:
a = 7.1982 Å, b = 7.1982 Å, c = 11.1124 Å
α = 90.00°, β = 90.00°, γ = 147.81°
Fractional positions:
Y: 0.0000 0.0000 0.0000
Y: 0.0000 0.0000 0.5000
Ge: 0.1877 0.8123 0.7500
Ge: 0.8123 0.1877 0.2500
Te: 0.1116 0.8884 0.2500
Te: 0.8884 0.1116 0.7500
Au: 0.4702 0.5298 0.2500
Au: 0.5298 0.4702 0.7500
Se: 0.3550 0.6450 0.0600
Se: 0.3550 0.6450 0.4400
Se: 0.6450 0.3550 0.5600
Se: 0.6450 0.3550 0.9400

Structure and simulated PXRD pattern of LiU2Te6 (a GGA-PBE-relaxed structure; a wavelength of 1.5418 Å).

The 10 most intense peaks (2θ = 5–70°), low angle first:
2θ/deg  Rel. int.
8.14  76
19.00  30
24.68  40
29.73  100
30.38  45
30.77  22
36.02  38
36.72  53
38.58  76
43.51  26

Structure:
a = 11.4745 Å, b = 11.4745 Å, c = 11.4745 Å
α = 159.11°, β = 149.10°, γ = 37.60°
Fractional positions:
Li: 0.0000 0.0000 0.0000
U: 0.3262 0.8262 0.5000
U: 0.6738 0.1738 0.5000
Te: 0.1579 0.4078 0.7500
Te: 0.2207 0.2207 0.0000
Te: 0.3422 0.5922 0.7500
Te: 0.6578 0.4078 0.2500
Te: 0.7793 0.7793 0.0000
Te: 0.8421 0.5922 0.2500

Structure and simulated PXRD pattern of KSr2Cd2Sb3 (a GGA-PBE-relaxed structure; a wavelength of 1.5418 Å).

The 10 most intense peaks (2θ = 5–70°), low angle first:
2θ/deg  Rel. int.
8.75  40
20.21  29
27.93  46
28.33  72
29.21  100
31.68  44
35.46  80
36.84  69
39.17  43
41.35  26

Structure:
a = 12.7824 Å, b = 4.8799 Å, c = 16.4860 Å
α = 90.00°, β = 90.00°, γ = 90.00°
Fractional positions:
K: 0.0926 0.2500 0.0485
K: 0.4074 0.7500 0.5485
K: 0.5926 0.2500 0.4515
K: 0.9074 0.7500 0.9515
Sr: 0.1018 0.7500 0.4259
Sr: 0.1348 0.2500 0.7825
Sr: 0.3652 0.7500 0.2825
Sr: 0.3982 0.2500 0.9259
Sr: 0.6018 0.7500 0.0741
Sr: 0.6348 0.2500 0.7175
Sr: 0.8652 0.7500 0.2175
Sr: 0.8982 0.2500 0.5741
Cd: 0.1323 0.2500 0.2825
Cd: 0.1980 0.2500 0.5777
Cd: 0.3020 0.7500 0.0777
Cd: 0.3677 0.7500 0.7825
Cd: 0.6323 0.2500 0.2175
Cd: 0.6980 0.2500 0.9223
Cd: 0.8020 0.7500 0.4223
Cd: 0.8677 0.7500 0.7175
Sb: 0.0789 0.7500 0.6296
Sb: 0.1242 0.7500 0.1930
Sb: 0.2082 0.7500 0.9163
Sb: 0.2918 0.2500 0.4163
Sb: 0.3758 0.2500 0.6930
Sb: 0.4211 0.2500 0.1296
Sb: 0.5789 0.7500 0.8704
Sb: 0.6242 0.7500 0.3070
Sb: 0.7082 0.7500 0.5837
Sb: 0.7918 0.2500 0.0837
Sb: 0.8758 0.2500 0.8070
Sb: 0.9211 0.2500 0.3704

Structure and simulated PXRD pattern of Rb2PtBrCl3 (a GGA-PBE-relaxed structure; a wavelength of 1.5418 Å).

The 10 most intense peaks (2θ = 5–70°), low angle first:
2θ/deg  Rel. int.
12.00  100
23.44  46
26.16  60
26.66  35
33.60  25
35.17  24
40.77  20
43.38  21
44.36  29
54.90  18

Structure:
a = 4.4274 Å, b = 7.3819 Å, c = 7.3819 Å
α = 92.54°, β = 90.00°, γ = 90.00°
Fractional positions:
Rb: 0.0000 0.2389 0.7611
Rb: 0.0000 0.7611 0.2389
Pt: 0.5000 0.7494 0.7494
Br: 0.5000 0.5096 0.5096
Cl: 0.5000 0.5312 0.9677
Cl: 0.5000 0.9677 0.5312
Cl: 0.5000 0.9787 0.9787

Structure and simulated PXRD pattern of LaPr2Ni6Pt3 (a GGA-PBE-relaxed structure; a wavelength of 1.5418 Å).

The 10 most intense peaks (2θ = 5–70°), low angle first:
2θ/deg  Rel. int.
20.78  19
34.32  14
34.45  59
40.57  100
42.29  13
43.71  18
43.86  19
47.30  10
61.68  16
65.86  23

Structure:
a = 9.0615 Å, b = 9.0615 Å, c = 9.0615 Å
α = 33.40°, β = 33.40°, γ = 33.40°
Fractional positions:
La: 0.0000 0.0000 0.0000
Pr: 0.1384 0.1384 0.1384
Pr: 0.8616 0.8616 0.8616
Ni: 0.0805 0.5845 0.5845
Ni: 0.4155 0.4155 0.9195
Ni: 0.4155 0.9195 0.4155
Ni: 0.5845 0.0805 0.5845
Ni: 0.5845 0.5845 0.0805
Ni: 0.9195 0.4155 0.4155
Pt: 0.3324 0.3324 0.3324
Pt: 0.5000 0.5000 0.5000
Pt: 0.6676 0.6676 0.6676

Structure and simulated PXRD pattern of Te6IrBr3 (a GGA-PBE-relaxed structure; a wavelength of 1.5418 Å).

The 10 most intense peaks (2θ = 5–70°), low angle first:
2θ/deg  Rel. int.
11.75  73
22.42  12
30.52  100
31.21  9
35.78  9
38.96  18
44.07  36
48.36  25
52.42  14
62.17  9

Structure:
a = 9.3093 Å, b = 9.3093 Å, c = 9.3093 Å
α = 107.95°, β = 107.95°, γ = 107.95°
Fractional positions:
Te: 0.0733 0.8288 0.8109
Te: 0.1712 0.1891 0.9267
Te: 0.1891 0.9267 0.1712
Te: 0.3109 0.3288 0.5733
Te: 0.3288 0.5733 0.3109
Te: 0.4267 0.6891 0.6712
Te: 0.5733 0.3109 0.3288
Te: 0.6712 0.4267 0.6891
Te: 0.6891 0.6712 0.4267
Te: 0.8109 0.0733 0.8288
Te: 0.8288 0.8109 0.0733
Te: 0.9267 0.1712 0.1891
Ir: 0.2500 0.2500 0.2500
Ir: 0.7500 0.7500 0.7500
Br: 0.0172 0.4828 0.7500
Br: 0.2500 0.9828 0.5172
Br: 0.4828 0.7500 0.0172
Br: 0.5172 0.2500 0.9828
Br: 0.7500 0.0172 0.4828
Br: 0.9828 0.5172 0.2500

- Number 1 is which compound?
  SbIr9

Copy entry 9 word for word.
Structure and simulated PXRD pattern of KSr2Cd2Sb3 (a GGA-PBE-relaxed structure; a wavelength of 1.5418 Å).

The 10 most intense peaks (2θ = 5–70°), low angle first:
2θ/deg  Rel. int.
8.75  40
20.21  29
27.93  46
28.33  72
29.21  100
31.68  44
35.46  80
36.84  69
39.17  43
41.35  26

Structure:
a = 12.7824 Å, b = 4.8799 Å, c = 16.4860 Å
α = 90.00°, β = 90.00°, γ = 90.00°
Fractional positions:
K: 0.0926 0.2500 0.0485
K: 0.4074 0.7500 0.5485
K: 0.5926 0.2500 0.4515
K: 0.9074 0.7500 0.9515
Sr: 0.1018 0.7500 0.4259
Sr: 0.1348 0.2500 0.7825
Sr: 0.3652 0.7500 0.2825
Sr: 0.3982 0.2500 0.9259
Sr: 0.6018 0.7500 0.0741
Sr: 0.6348 0.2500 0.7175
Sr: 0.8652 0.7500 0.2175
Sr: 0.8982 0.2500 0.5741
Cd: 0.1323 0.2500 0.2825
Cd: 0.1980 0.2500 0.5777
Cd: 0.3020 0.7500 0.0777
Cd: 0.3677 0.7500 0.7825
Cd: 0.6323 0.2500 0.2175
Cd: 0.6980 0.2500 0.9223
Cd: 0.8020 0.7500 0.4223
Cd: 0.8677 0.7500 0.7175
Sb: 0.0789 0.7500 0.6296
Sb: 0.1242 0.7500 0.1930
Sb: 0.2082 0.7500 0.9163
Sb: 0.2918 0.2500 0.4163
Sb: 0.3758 0.2500 0.6930
Sb: 0.4211 0.2500 0.1296
Sb: 0.5789 0.7500 0.8704
Sb: 0.6242 0.7500 0.3070
Sb: 0.7082 0.7500 0.5837
Sb: 0.7918 0.2500 0.0837
Sb: 0.8758 0.2500 0.8070
Sb: 0.9211 0.2500 0.3704